1.
# NaRuO4
Calculated X-ray powder pattern, Cu Kα X-rays. Input: a crystal structure in Alexandria, relaxed with PBE.
Kinematic intensities with the Lorentz-polarization factor, no thermal factor.

Cell and atoms:
a = 7.098 Å, b = 7.098 Å, c = 7.098 Å
α = 135.59°, β = 135.59°, γ = 64.62°
Fractional coordinates of all 12 atoms:
Na 0.375 0.125 0.250
Na 0.625 0.875 0.750
Ru 0.125 0.375 0.750
Ru 0.875 0.625 0.250
O 0.074 0.217 0.380
O 0.195 0.574 0.357
O 0.283 0.163 0.857
O 0.337 0.695 0.120
O 0.663 0.305 0.880
O 0.717 0.837 0.143
O 0.805 0.426 0.643
O 0.926 0.783 0.620

Largest 10 diffraction maxima, by angle, 2θ from 10° to 90°:
d (Å)  Position (°2θ)  I/Imax
4.897  18.11  552
3.206  27.83  1000
2.999  29.79  89
2.682  33.41  117
2.353  38.26  164
1.999  45.36  237
1.769  51.68  138
1.632  56.36  212
1.603  57.49  89
1.294  73.16  130

---

2.
# Li2DyMg9
Calculated X-ray powder pattern, Cu Kα X-rays. Input: a crystal structure in Alexandria, relaxed with PBE.
Kinematic intensities with the Lorentz-polarization factor, no thermal factor.

Cell and atoms:
a = 4.523 Å, b = 4.523 Å, c = 13.608 Å
α = 90.00°, β = 90.00°, γ = 90.00°
Fractional coordinates of all 12 atoms:
Li 0.000 0.000 0.167
Li 0.000 0.000 0.833
Dy 0.000 0.000 0.500
Mg 0.000 0.500 0.000
Mg 0.000 0.500 0.323
Mg 0.000 0.500 0.677
Mg 0.500 0.000 0.000
Mg 0.500 0.000 0.323
Mg 0.500 0.000 0.677
Mg 0.500 0.500 0.157
Mg 0.500 0.500 0.500
Mg 0.500 0.500 0.843

Largest 10 diffraction maxima, by angle, 2θ from 10° to 90°:
d (Å)  Position (°2θ)  I/Imax
6.804  13.01  346
4.292  20.69  550
3.767  23.62  360
3.113  28.67  250
2.894  30.89  243
2.720  32.94  255
2.614  34.31  1000
2.261  39.86  333
1.601  57.58  320
1.364  68.83  250